Simulated PXRD pattern of Mg6CrCoO8 for Cu Kα, 1.54184 Å, from a PBE+U-relaxed structure.

Largest 10 diffraction maxima, in order of falling intensity, 2θ from 10° to 90°:
2θ/deg	I/Imax	index
42.24	100	2 0 0
61.27	56	2 2 0
36.37	25	1 1 2
20.76	18	0 0 2
77.24	17	2 2 4
29.52	15	1 0 2
73.39	12	1 1 6
47.52	7	2 0 2
52.38	5	2 1 2
65.44	3	0 0 6

Structure:
```
Mg6CrCoO8
1.0
4.280 0.000 0.000
0.000 4.280 0.000
0.000 0.000 8.552
Mg Cr Co O
6 1 1 8
Direct
0.000 0.000 0.000
0.000 0.000 0.500
0.000 0.500 0.246
0.000 0.500 0.754
0.500 0.000 0.246
0.500 0.000 0.754
0.500 0.500 0.500
0.500 0.500 0.000
0.000 0.000 0.250
0.000 0.000 0.750
0.000 0.500 0.000
0.000 0.500 0.500
0.500 0.000 0.000
0.500 0.000 0.500
0.500 0.500 0.260
0.500 0.500 0.740
```